This entry pairs a crystal structure of Cr3O4 with its simulated PXRD pattern. Radiation: Cu Kα. Structure: a structure optimized by DFT (GGA+U).
Kinematic intensities with the Lorentz-polarization factor, no thermal factor.

Cell and atoms:
abc: 11.2237 3.0179 5.1439
angles: 90.00 113.19 90.00
Positions (direct):
Cr 0.0000 0.0000 0.0000
Cr 0.2309 0.5000 0.7365
Cr 0.2691 0.0000 0.2635
Cr 0.5000 0.5000 0.0000
Cr 0.7309 0.0000 0.7365
Cr 0.7691 0.5000 0.2635
O 0.1428 0.0000 0.8457
O 0.1501 0.5000 0.3098
O 0.3499 0.0000 0.6902
O 0.3572 0.5000 0.1543
O 0.6428 0.5000 0.8457
O 0.6501 0.0000 0.3098
O 0.8499 0.5000 0.6902
O 0.8572 0.0000 0.1543

Top 12 peaks for 2θ from 10° to 90°, by angle:
2θ/deg  d_spacing  intensity  index
17.19  5.158  82.1  2 0 0
18.77  4.728  36.7  0 0 1
30.26  2.954  29.3  2 0 1
34.48  2.601  100.0  1 1 -1
34.78  2.579  23.2  4 0 0
34.97  2.566  38.3  2 0 -2
39.34  2.290  36.7  3 1 -1
39.74  2.268  32.0  3 1 0
48.25  1.886  43.6  2 0 2
48.83  1.865  39.6  3 1 1
50.72  1.800  64.5  5 1 -1
62.41  1.488  36.9  3 1 -3